[1]
The following is a calculated powder X-ray diffraction pattern of NdSm12Sc2. It was derived from the GGA-PBE geometry in Alexandria, using Cu Kα X-rays.

Structure:
Lattice parameters (Å, degrees): 6.460 6.460 26.205 91.39 91.39 115.40
Positions (direct):
Nd1 0.245 0.245 0.003
Nd2 0.755 0.755 0.997
Sm1 0.028 0.558 0.204
Sm2 0.149 0.518 0.332
Sm3 0.160 0.160 0.442
Sm4 0.186 0.531 0.553
Sm5 0.217 0.217 0.652
Sm6 0.218 0.218 0.872
Sm7 0.241 0.729 0.929
Sm8 0.271 0.759 0.071
Sm9 0.272 0.272 0.136
Sm10 0.442 0.972 0.796
Sm11 0.469 0.814 0.447
Sm12 0.482 0.851 0.668
Sm13 0.518 0.149 0.332
Sm14 0.531 0.186 0.553
Sm15 0.558 0.028 0.204
Sm16 0.728 0.728 0.864
Sm17 0.729 0.241 0.929
Sm18 0.759 0.271 0.071
Sm19 0.782 0.782 0.128
Sm20 0.783 0.783 0.348
Sm21 0.814 0.469 0.447
Sm22 0.840 0.840 0.558
Sm23 0.851 0.482 0.668
Sm24 0.972 0.442 0.796
Sc1 0.063 0.063 0.250
Sc2 0.463 0.463 0.758
Sc3 0.537 0.537 0.242
Sc4 0.937 0.937 0.750

Peak list (8 most intense, 10° ≤ 2θ ≤ 90°, in order of falling intensity)
2θ (°), d [Å], I (rel.)
30.71, 2.912, 100.0
31.88, 2.807, 74.9
28.94, 3.085, 65.3
31.19, 2.867, 65.3
32.34, 2.768, 64.7
31.71, 2.822, 58.0
32.97, 2.716, 55.1
32.80, 2.730, 45.6

[2]
The following is a calculated powder X-ray diffraction pattern of NdSm8Sc2. It was derived from the GGA-PBE geometry in Alexandria, using Cu Kα X-rays.

Structure:
Lattice parameters (Å, degrees): 9.296 9.296 9.296 145.60 126.73 64.96
Positions (direct):
Nd1 0.000 0.000 0.000
Sm1 0.153 0.856 0.297
Sm2 0.163 0.663 0.500
Sm3 0.301 0.500 0.801
Sm4 0.441 0.144 0.297
Sm5 0.559 0.856 0.703
Sm6 0.699 0.500 0.199
Sm7 0.837 0.337 0.500
Sm8 0.847 0.144 0.703
Sc1 0.300 0.300 0.000
Sc2 0.700 0.700 0.000

Peak list (8 most intense, 10° ≤ 2θ ≤ 90°, in order of falling intensity)
2θ (°), d [Å], I (rel.)
31.93, 2.803, 100.0
32.58, 2.749, 33.3
29.98, 2.981, 28.8
57.73, 1.597, 21.8
32.74, 2.736, 20.8
22.45, 3.961, 19.3
34.31, 2.614, 18.9
46.86, 1.939, 15.4

[3]
The following is a calculated powder X-ray diffraction pattern of NdSm4Sc2. It was derived from the GGA-PBE geometry in Alexandria, using Cu Kα X-rays.

Structure:
Lattice parameters (Å, degrees): 7.988 7.988 16.518 90.68 90.68 154.53
Positions (direct):
Nd1 0.194 0.806 0.750
Nd2 0.806 0.194 0.250
Sm1 0.072 0.175 0.420
Sm2 0.175 0.072 0.920
Sm3 0.267 0.618 0.926
Sm4 0.382 0.733 0.574
Sm5 0.618 0.267 0.426
Sm6 0.733 0.382 0.074
Sm7 0.825 0.928 0.080
Sm8 0.928 0.825 0.580
Sc1 0.132 0.868 0.250
Sc2 0.481 0.519 0.250
Sc3 0.519 0.481 0.750
Sc4 0.868 0.132 0.750

Peak list (8 most intense, 10° ≤ 2θ ≤ 90°, in order of falling intensity)
2θ (°), d [Å], I (rel.)
28.07, 3.179, 100.0
32.57, 2.749, 48.1
33.08, 2.708, 37.2
32.13, 2.786, 26.4
26.82, 3.324, 17.2
31.45, 2.845, 16.0
34.95, 2.567, 15.2
38.84, 2.319, 14.5

[4]
The following is a calculated powder X-ray diffraction pattern of Nd2SmSc2. It was derived from the GGA-PBE geometry in Alexandria, using Cu Kα X-rays.

Structure:
Lattice parameters (Å, degrees): 8.514 8.514 6.582 100.15 100.15 134.66
Positions (direct):
Nd1 0.201 0.294 0.002
Nd2 0.294 0.201 0.502
Nd3 0.706 0.799 0.498
Nd4 0.799 0.706 0.998
Sm1 0.341 0.659 0.750
Sm2 0.659 0.341 0.250
Sc1 0.150 0.850 0.750
Sc2 0.251 0.749 0.250
Sc3 0.749 0.251 0.750
Sc4 0.850 0.150 0.250

Peak list (8 most intense, 10° ≤ 2θ ≤ 90°, in order of falling intensity)
2θ (°), d [Å], I (rel.)
32.68, 2.740, 100.0
31.91, 2.805, 27.9
31.21, 2.866, 19.4
57.31, 1.608, 15.7
11.26, 7.856, 15.5
64.13, 1.452, 14.1
26.64, 3.346, 12.7
48.50, 1.877, 11.2